Entry 1:
Rb3As4Pd7: calculated PXRD pattern (Cu Kα, 1.54184 Å), based on a DFT-relaxed cell (GGA-PBE, Alexandria).

The 8 most intense peaks (10° ≤ 2θ ≤ 80°), low angle first:
- 2θ = 10.57°, intensity 43
- 2θ = 15.38°, intensity 100
- 2θ = 31.05°, intensity 51
- 2θ = 31.18°, intensity 44
- 2θ = 33.61°, intensity 70
- 2θ = 40.60°, intensity 50
- 2θ = 41.87°, intensity 96
- 2θ = 42.88°, intensity 61

Structure:
Unit cell a=16.8612 b=4.3137 c=11.5414 alpha=90.00 beta=129.75 gamma=90.00
Space group C2/m (No. 12)
One atom of each set of equivalent atoms:
Rb 0.0000 0.0000 0.0000 [2 per cell]
Rb 0.2209 0.5000 0.7189 [4 per cell]
As 0.1022 0.0000 0.4011 [4 per cell]
As 0.1673 0.5000 0.9699 [4 per cell]
Pd 0.0000 0.0000 0.5000 [2 per cell]
Pd 0.0036 0.5000 0.6829 [4 per cell]
Pd 0.1351 0.0000 0.8449 [4 per cell]
Pd 0.1944 0.5000 0.4153 [4 per cell]

Entry 2:
Rb2As4Pd3: calculated PXRD pattern (Cu Kα, 1.54184 Å), based on a DFT-relaxed cell (GGA-PBE, Alexandria).

The 8 most intense peaks (10° ≤ 2θ ≤ 80°), low angle first:
- 2θ = 10.74°, intensity 100
- 2θ = 18.10°, intensity 30
- 2θ = 20.66°, intensity 27
- 2θ = 23.73°, intensity 32
- 2θ = 34.73°, intensity 56
- 2θ = 37.25°, intensity 36
- 2θ = 41.46°, intensity 26
- 2θ = 48.56°, intensity 41

Structure:
Unit cell a=5.9639 b=10.0805 c=16.4715 alpha=90.00 beta=90.00 gamma=90.00
Space group Fmmm (No. 69)
One atom of each set of equivalent atoms:
Rb 0.0000 0.0000 0.1673 [8 per cell]
As 0.0000 0.1659 0.3882 [16 per cell]
Pd 0.0000 0.0000 0.5000 [4 per cell]
Pd 0.2500 0.2500 0.0000 [8 per cell]

Entry 3:
ReAsPd: calculated PXRD pattern (Cu Kα, 1.54184 Å), based on a DFT-relaxed cell (GGA-PBE, Alexandria).

The 8 most intense peaks (10° ≤ 2θ ≤ 80°), low angle first:
- 2θ = 10.82°, intensity 35
- 2θ = 32.87°, intensity 12
- 2θ = 36.99°, intensity 100
- 2θ = 42.07°, intensity 59
- 2θ = 42.59°, intensity 54
- 2θ = 53.31°, intensity 35
- 2θ = 69.76°, intensity 13
- 2θ = 70.14°, intensity 13

Structure:
Unit cell a=4.8615 b=4.8599 c=8.1747 alpha=90.00 beta=90.98 gamma=90.00
Space group C2/m (No. 12)
One atom of each set of equivalent atoms:
Re 0.2429 0.0000 0.0576 [4 per cell]
As 0.2451 0.5000 0.2705 [4 per cell]
Pd 0.2469 0.0000 0.3962 [4 per cell]

Entry 4:
SmAs3PdRh2: calculated PXRD pattern (Cu Kα, 1.54184 Å), based on a DFT-relaxed cell (GGA-PBE, Alexandria).

The 8 most intense peaks (10° ≤ 2θ ≤ 80°), low angle first:
- 2θ = 23.72°, intensity 36
- 2θ = 27.84°, intensity 39
- 2θ = 27.89°, intensity 26
- 2θ = 33.74°, intensity 100
- 2θ = 44.32°, intensity 31
- 2θ = 48.37°, intensity 38
- 2θ = 48.54°, intensity 60
- 2θ = 50.79°, intensity 31

Structure:
Unit cell a=7.5015 b=7.5015 c=18.4682 alpha=90.00 beta=90.00 gamma=120.00
Space group R-3m (No. 166, hexagonal axes)
One atom of each set of equivalent atoms:
Sm 0.0000 0.0000 0.2387 [6 per cell]
As 0.0421 0.5211 0.2570 [18 per cell]
Pd 0.0000 0.0000 0.0886 [6 per cell]
Rh 0.0000 0.0000 0.5000 [3 per cell]
Rh 0.0000 0.5000 0.0000 [9 per cell]